[1]
The following is a computed X-ray diffraction stick pattern of SmTiVFe10. It was derived from DFT lattice parameters and positions (PBE), using CuKα.
Lines closer than 0.1° are merged.

Most intense lines, 15 to 90 degrees two-theta, in order of rising 2θ:
hkl 1 2 1, 2θ 30.16, intensity 44
hkl 1 0 3, 2θ 36.71, intensity 41
hkl 1 3 0, 2θ 36.98, intensity 40
hkl 0 0 4, 2θ 42.00, intensity 69
hkl 0 4 0, 2θ 42.43, intensity 57
hkl 1 2 3, 2θ 42.59, intensity 90
hkl 1 3 2, 2θ 42.73, intensity 100
hkl 2 0 2, 2θ 43.92, intensity 69
hkl 2 2 0, 2θ 44.03, intensity 63
hkl 2 2 2, 2θ 49.09, intensity 52

Cell and atoms:
Cell: 4.697 8.522 8.606 Å, 90.00 90.00 90.00°
Space group Imm2 (No. 44)
Symmetry-distinct sites (fractional):
Sm 0.000 0.000 0.000 [2 per cell]
Ti 0.000 0.000 0.359 [2 per cell]
V 0.000 0.000 0.650 [2 per cell]
Fe 0.000 0.274 0.501 [4 per cell]
Fe 0.000 0.359 0.999 [4 per cell]
Fe 0.000 0.500 0.270 [2 per cell]
Fe 0.000 0.500 0.727 [2 per cell]
Fe 0.249 0.248 0.750 [8 per cell]

[2]
The following is a computed X-ray diffraction stick pattern of Ba2NpBe2P4. It was derived from DFT lattice parameters and positions (PBE), using CuKα.
Lines closer than 0.1° are merged.

Most intense lines, 15 to 90 degrees two-theta, in order of rising 2θ:
hkl 2 0 1, 2θ 21.10, intensity 50
hkl 1 1 0, 2θ 23.23, intensity 82
hkl 2 0 -2, 2θ 24.38, intensity 47
hkl 4 0 -1, 2θ 24.52, intensity 53
hkl 3 1 -1, 2θ 29.52, intensity 44
hkl 4 0 1, 2θ 32.80, intensity 36
hkl 1 1 -2, 2θ 33.13, intensity 100
hkl 3 1 1, 2θ 35.10, intensity 53
hkl 5 1 -1, 2θ 38.06, intensity 47
hkl 0 2 0, 2θ 45.52, intensity 40

Cell and atoms:
Cell: 14.705 3.985 7.400 Å, 90.00 110.39 90.00°
Space group C2/m (No. 12)
Symmetry-distinct sites (fractional):
Ba 0.138 0.000 0.078 [4 per cell]
Np 0.000 0.000 0.500 [2 per cell]
Be 0.172 0.500 0.478 [4 per cell]
P 0.023 0.500 0.264 [4 per cell]
P 0.202 0.000 0.645 [4 per cell]

[3]
The following is a computed X-ray diffraction stick pattern of LaZnNi4H6. It was derived from DFT lattice parameters and positions (PBE), using CuKα.
Lines closer than 0.1° are merged.

Most intense lines, 15 to 90 degrees two-theta, in order of rising 2θ:
hkl 1 0 0, 2θ 23.49, intensity 9
hkl 1 0 1, 2θ 27.03, intensity 38
hkl 1 0 2, 2θ 35.73, intensity 100
hkl 0 0 3, 2θ 40.28, intensity 14
hkl 1 1 0, 2θ 41.29, intensity 87
hkl 2 0 2, 2θ 55.73, intensity 26
hkl 1 1 3, 2θ 59.05, intensity 28
hkl 1 0 4, 2θ 60.28, intensity 15
hkl 2 1 2, 2θ 71.67, intensity 24
hkl 3 0 0, 2θ 75.28, intensity 14

Cell and atoms:
Cell: 4.3731 4.3731 6.7176 Å, 90.00 90.00 120.00°
Space group P6/mmm (No. 191)
Symmetry-distinct sites (fractional):
La 0.0000 0.0000 0.0000 [1 per cell]
Zn 0.0000 0.0000 0.5000 [1 per cell]
Ni 0.3333 0.6667 0.3241 [4 per cell]
H 0.0000 0.5000 0.1754 [6 per cell]

[4]
The following is a computed X-ray diffraction stick pattern of Tb4AlNi2. It was derived from DFT lattice parameters and positions (PBE), using CuKα.
Lines closer than 0.1° are merged.

Most intense lines, 15 to 90 degrees two-theta, in order of rising 2θ:
hkl 1 0 4, 2θ 25.58, intensity 23
hkl 0 1 5, 2θ 27.75, intensity 79
hkl 1 0 7, 2θ 32.89, intensity 49
hkl 1 1 0, 2θ 37.18, intensity 100
hkl 1 0 10, 2θ 41.98, intensity 40
hkl 2 0 5, 2θ 47.02, intensity 19
hkl 1 1 12, 2θ 58.35, intensity 19
hkl 1 2 5, 2θ 61.42, intensity 18
hkl 3 0 0, 2θ 67.04, intensity 17
hkl 2 1 10, 2θ 70.32, intensity 17

Cell and atoms:
Cell: 4.8360 4.8360 25.0895 Å, 90.00 90.00 120.00°
Space group R-3m (No. 166, hexagonal axes)
Symmetry-distinct sites (fractional):
Tb 0.0000 0.0000 0.1170 [6 per cell]
Tb 0.0000 0.0000 0.2936 [6 per cell]
Al 0.0000 0.0000 0.5000 [3 per cell]
Ni 0.0000 0.0000 0.4051 [6 per cell]